Starting from a structure optimized by DFT (PBE+U), the powder diffractogram of Tl2V3O8 was simulated for Cu Kα, 1.54184 Å.

Crystal structure
Unit cell a=9.1110 b=9.1110 c=5.5316 alpha=90.00 beta=90.00 gamma=90.00
Space group P4bm (No. 100)
Asymmetric unit:
Tl  0.1696  0.3304  0.0000 x4
V  0.0000  0.0000  0.5358 x2
V  0.1338  0.6338  0.5292 x4
O  0.0000  0.0000  0.2398 x2
O  0.0000  0.5000  0.6464 x2
O  0.0864  0.8075  0.6377 x8
O  0.1302  0.6302  0.2275 x4

The 10 most intense peaks (10 to 90 degrees two-theta), by angle:
h k l  2theta  intensity
2 1 0  21.81  18
2 0 1  25.33  27
2 1 1  27.18  100
3 1 0  31.04  21
0 0 2  32.37  14
2 1 2  39.37  17
4 1 0  40.84  14
4 1 1  44.13  18
3 3 1  45.30  13
2 1 3  54.63  13


Starting from a structure optimized by DFT (PBE+U), the powder diffractogram of Sr2CoWO6 was simulated for Cu Kα, 1.54184 Å.

Crystal structure
Unit cell a=5.5947 b=5.5947 c=8.2620 alpha=90.00 beta=90.00 gamma=90.00
Space group I4/m (No. 87)
Asymmetric unit:
Sr  0.0000  0.5000  0.2500 x4
Co  0.0000  0.0000  0.0000 x2
W  0.0000  0.0000  0.5000 x2
O  0.0000  0.0000  0.2636 x4
O  0.1997  0.7139  0.5000 x8

The 10 most intense peaks (10 to 90 degrees two-theta), by angle:
h k l  2theta  intensity
1 0 1  19.16  34
1 1 2  31.31  100
2 0 0  31.99  51
2 1 1  37.56  13
0 0 4  43.83  18
2 2 0  45.88  29
2 0 4  55.29  22
3 1 2  56.59  41
2 2 4  65.32  19
2 4 0  76.08  9


Starting from a structure optimized by DFT (PBE+U), the powder diffractogram of YV2O4 was simulated for Cu Kα, 1.54184 Å.

Crystal structure
Unit cell a=5.8279 b=5.8279 c=10.0606 alpha=90.00 beta=90.00 gamma=90.00
Space group I4_1/a (No. 88, origin choice 2)
Asymmetric unit:
Y  0.0000  0.2500  0.1250 x4
V  0.0000  0.0000  0.5000 x8
O  0.1505  0.4470  0.3223 x16

The 10 most intense peaks (10 to 90 degrees two-theta), by angle:
h k l  2theta  intensity
1 1 2  27.99  32
1 0 3  30.75  39
1 2 1  35.59  100
2 0 4  47.76  8
1 0 5  47.82  19
3 1 2  52.91  20
3 0 3  54.60  15
2 2 4  57.82  37
4 1 3  72.57  11
0 0 8  75.56  9


Starting from a structure optimized by DFT (PBE+U), the powder diffractogram of Ca3Mn2O7 was simulated for Cu Kα, 1.54184 Å.

Crystal structure
Unit cell a=5.1453 b=10.2010 c=6.6556 alpha=90.00 beta=112.43 gamma=90.00
Space group P2_1 (No. 4)
Asymmetric unit:
Ca  0.1379  0.0000  0.3183 x2
Ca  0.1692  0.5225  0.3208 x2
Ca  0.3519  0.2564  0.6797 x2
Mn  0.0023  0.2633  0.0258 x2
Mn  0.4927  0.4896  0.0039 x2
O  0.1314  0.7547  0.2833 x2
O  0.1595  0.9257  0.9893 x2
O  0.1665  0.2435  0.3212 x2
O  0.2038  0.6056  0.9940 x2
O  0.3223  0.0317  0.6933 x2
O  0.3473  0.3279  0.0244 x2
O  0.3536  0.4840  0.6904 x2

The 10 most intense peaks (10 to 90 degrees two-theta), by angle:
h k l  2theta  intensity
0 0 1  14.40  93
1 1 -1  20.65  40
1 2 -1  25.64  65
1 2 1  32.93  78
1 2 -2  33.06  83
2 0 -1  34.88  100
0 4 0  35.19  93
0 0 3  44.16  72
2 4 -1  50.38  76
0 4 3  57.68  32


Starting from a structure optimized by DFT (PBE+U), the powder diffractogram of CaMn2P4O14 was simulated for Cu Kα, 1.54184 Å.

Crystal structure
Unit cell a=5.0648 b=6.8908 c=9.0381 alpha=101.94 beta=103.70 gamma=104.60
Space group P1 (No. 1)
Asymmetric unit:
Ca  0.0000  0.0000  0.0000 x1
Mn  0.3606  0.6423  0.8774 x1
Mn  0.9363  0.1757  0.6120 x1
P  0.4099  0.2630  0.4061 x1
P  0.5300  0.1921  0.8689 x1
P  0.8013  0.6635  0.6361 x1
P  0.9222  0.6022  0.1120 x1
O  0.0193  0.5443  0.6865 x1
O  0.0511  0.6392  0.2832 x1
O  0.1249  0.6828  0.0163 x1
O  0.2240  0.2106  0.5110 x1
O  0.2576  0.2187  0.2329 x1
O  0.2892  0.2916  0.8282 x1
O  0.4259  0.9981  0.9232 x1
O  0.5754  0.5141  0.4734 x1
O  0.6444  0.1545  0.4284 x1
O  0.6495  0.6974  0.7655 x1
O  0.6825  0.7076  0.0690 x1
O  0.6870  0.1501  0.7485 x1
O  0.7725  0.3504  0.0274 x1
O  0.9437  0.8704  0.6149 x1

The 10 most intense peaks (10 to 90 degrees two-theta), by angle:
h k l  2theta  intensity
0 0 1  10.51  100
0 1 -1  14.83  18
0 1 1  19.67  27
1 -1 1  23.24  20
1 0 -2  23.75  69
1 1 -2  27.62  29
0 2 0  27.90  46
1 -2 1  29.61  31
1 0 2  32.69  39
1 0 3  42.35  19